1.
This entry pairs a crystal structure of LiCuPO4 with its theoretical powder X-ray diffraction pattern. Radiation: Cu Kα X-rays. Structure: a structure optimized by DFT (GGA-PBE).
No peak broadening, texture or thermal motion is included.

Structural model:
Cell lengths 5.624, 5.869, 10.582 Å; angles 90.00, 108.98, 90.00 degrees
Space group P2_1/c (No. 14)
Inequivalent atoms, fractional coordinates:
Li1 0.205 0.162 0.434 x4
Cu1 0.246 0.597 0.358 x4
P1 0.325 0.684 0.608 x4
O1 0.154 0.733 0.693 x4
O2 0.257 0.647 0.986 x4
O3 0.266 0.052 0.035 x4
O4 0.391 0.192 0.809 x4

Main lines, by angle (2θ from 10° to 90°):
| 2θ (°) | intensity | hkl |
| --- | --- | --- |
| 17.52 | 91 | 0 1 1 |
| 20.02 | 18 | 1 0 -2 |
| 22.16 | 31 | 1 1 -1 |
| 22.56 | 100 | 1 1 0 |
| 30.84 | 31 | 0 1 3 |
| 33.71 | 52 | 2 0 0 |
| 35.46 | 14 | 2 1 -1 |
| 36.10 | 15 | 2 1 -2 |
| 40.83 | 28 | 1 2 -3 |
| 45.63 | 15 | 1 1 -5 |
| 47.98 | 20 | 1 2 3 |
| 50.07 | 18 | 0 3 2 |

=====

2.
This entry pairs a crystal structure of MgMo2WSe2S4 with its theoretical powder X-ray diffraction pattern. Radiation: Cu Kα X-rays. Structure: a structure optimized by DFT (GGA-PBE).
No peak broadening, texture or thermal motion is included.

Structural model:
Cell lengths 3.2351, 3.2351, 36.6283 Å; angles 90.00, 90.00, 120.00 degrees
Space group P3m1 (No. 156)
Inequivalent atoms, fractional coordinates:
Mg1 0.0000 0.0000 0.0000 x1
Mo1 0.0000 0.0000 0.1204 x1
Mo2 0.0000 0.0000 0.6475 x1
W1 0.3333 0.6667 0.8716 x1
Se1 0.0000 0.0000 0.8247 x1
Se2 0.0000 0.0000 0.9187 x1
S1 0.3333 0.6667 0.0778 x1
S2 0.3333 0.6667 0.1626 x1
S3 0.3333 0.6667 0.6051 x1
S4 0.3333 0.6667 0.6898 x1

Main lines, by angle (2θ from 10° to 90°):
| 2θ (°) | intensity | hkl |
| --- | --- | --- |
| 12.08 | 100 | 0 0 5 |
| 31.98 | 83 | 1 0 0 |
| 33.45 | 40 | 1 0 4 |
| 34.27 | 21 | 1 0 5 |
| 35.25 | 72 | 0 1 6 |
| 36.37 | 58 | 0 1 7 |
| 40.54 | 83 | 0 1 10 |
| 42.15 | 93 | 0 1 11 |
| 47.55 | 24 | 0 1 14 |
| 49.52 | 31 | 0 1 15 |
| 56.95 | 60 | 1 1 0 |
| 57.89 | 37 | 0 0 23 |

=====

3.
This entry pairs a crystal structure of ErAu with its theoretical powder X-ray diffraction pattern. Radiation: Cu Kα X-rays. Structure: a structure optimized by DFT (GGA-PBE).
No peak broadening, texture or thermal motion is included.

Structural model:
Cell lengths 3.575, 3.575, 3.575 Å; angles 90.00, 90.00, 90.00 degrees
Space group Pm-3m (No. 221)
Inequivalent atoms, fractional coordinates:
Er1 0.000 0.000 0.000 x1
Au1 0.500 0.500 0.500 x1

Main lines, by angle (2θ from 10° to 90°):
| 2θ (°) | intensity | hkl |
| --- | --- | --- |
| 24.90 | 1 | 1 0 0 |
| 35.51 | 100 | 1 1 0 |
| 51.09 | 18 | 2 0 0 |
| 63.76 | 37 | 2 1 1 |
| 75.16 | 12 | 2 2 0 |
| 85.98 | 17 | 3 1 0 |

=====

4.
This entry pairs a crystal structure of LaTa2CuClO7 with its theoretical powder X-ray diffraction pattern. Radiation: Cu Kα X-rays. Structure: a structure optimized by DFT (GGA-PBE).
No peak broadening, texture or thermal motion is included.

Structural model:
Cell lengths 3.915, 3.915, 11.763 Å; angles 90.00, 90.00, 90.00 degrees
Space group P4/mmm (No. 123)
Inequivalent atoms, fractional coordinates:
La1 0.000 0.000 0.000 x1
Ta1 0.500 0.500 0.191 x2
Cu1 0.500 0.500 0.500 x1
Cl1 0.000 0.000 0.500 x1
O1 0.000 0.500 0.154 x4
O2 0.500 0.500 0.000 x1
O3 0.500 0.500 0.344 x2

Main lines, by angle (2θ from 10° to 90°):
| 2θ (°) | intensity | hkl |
| --- | --- | --- |
| 22.70 | 47 | 0 0 3 |
| 27.37 | 55 | 1 0 2 |
| 32.32 | 100 | 1 1 0 |
| 38.26 | 8 | 0 0 5 |
| 44.97 | 14 | 1 1 4 |
| 46.37 | 33 | 2 0 0 |
| 50.94 | 11 | 1 1 5 |
| 52.23 | 15 | 2 1 0 |
| 54.69 | 16 | 2 1 2 |
| 57.64 | 32 | 2 1 3 |
| 67.66 | 17 | 2 2 0 |
| 77.02 | 12 | 3 1 0 |